Structure and computed PXRD pattern of PmHo12Sc2 (the PBE geometry in Alexandria; λ = 1.5418 Å (Cu Kα)).
No peak broadening, texture or thermal motion is included.

Cell: 30.707 30.707 3.632 Å, 90.00 90.00 172.24°
Sites, in units of the cell vectors:
Pm1 0.000 0.000 0.000
Ho1 0.072 0.928 0.000
Ho2 0.196 0.804 0.000
Ho3 0.271 0.729 0.500
Ho4 0.337 0.663 0.500
Ho5 0.394 0.606 0.500
Ho6 0.463 0.537 0.500
Ho7 0.537 0.463 0.500
Ho8 0.606 0.394 0.500
Ho9 0.663 0.337 0.500
Ho10 0.729 0.271 0.500
Ho11 0.804 0.196 0.000
Ho12 0.928 0.072 0.000
Sc1 0.135 0.865 0.000
Sc2 0.865 0.135 0.000

Principal peaks in the range 10 to 90 degrees two-theta, sorted by position:
- d 2.913, 2θ 30.69, I = 100
- d 2.795, 2θ 32.02, I = 29
- d 2.732, 2θ 32.78, I = 83
- d 2.635, 2θ 34.02, I = 37
- d 2.484, 2θ 36.17, I = 17
- d 2.077, 2θ 43.57, I = 23
- d 1.631, 2θ 56.40, I = 18
- d 1.541, 2θ 60.03, I = 30